# 1
# Zr4Np
Computed X-ray diffraction stick pattern, Cu Ka. Input: a DFT-relaxed cell (GGA-PBE, Alexandria).
Peak positions follow from Bragg's law for the DFT cell and can differ from measured ones.

Peak list (12 most intense, 10 to 80 degrees two-theta, by angle)
17.71 deg, d = 5.009 Å, I 82, hkl 1 0 0; 25.14 deg, d = 3.542 Å, I 72, hkl 1 1 0; 30.92 deg, d = 2.892 Å, I 11, hkl 1 1 1; 35.86 deg, d = 2.504 Å, I 100, hkl 2 0 0; 40.26 deg, d = 2.240 Å, I 43, hkl 2 1 0; 44.30 deg, d = 2.045 Å, I 33, hkl 2 1 1; 51.61 deg, d = 1.771 Å, I 70, hkl 2 2 0; 55.00 deg, d = 1.670 Å, I 22, hkl 3 0 0; 58.25 deg, d = 1.584 Å, I 15, hkl 3 1 0; 64.44 deg, d = 1.446 Å, I 24, hkl 2 2 2; 70.32 deg, d = 1.339 Å, I 17, hkl 3 2 1; 78.78 deg, d = 1.215 Å, I 13, hkl 4 1 0

Structural model:
Cell lengths 5.009, 5.009, 5.009 Å; angles 90.00, 90.00, 90.00 degrees
Space group Pm-3m (No. 221)
Inequivalent atoms, fractional coordinates:
1 Zr 0.000 0.000 0.000
2 Zr 0.000 0.500 0.500
3 Np 0.500 0.500 0.500

=====

# 2
# CoReB2
Computed X-ray diffraction stick pattern, Cu Ka. Input: a DFT-relaxed cell (GGA-PBE, Alexandria).
Peak positions follow from Bragg's law for the DFT cell and can differ from measured ones.

Peak list (7 most intense, 10 to 80 degrees two-theta, by angle)
29.30 deg, d = 3.048 Å, I 54, hkl 1 1 1; 33.96 deg, d = 2.640 Å, I 100, hkl 2 0 0; 48.79 deg, d = 1.866 Å, I 92, hkl 2 2 0; 57.94 deg, d = 1.592 Å, I 26, hkl 3 1 1; 60.78 deg, d = 1.524 Å, I 25, hkl 2 2 2; 71.48 deg, d = 1.320 Å, I 14, hkl 4 0 0; 79.07 deg, d = 1.211 Å, I 11, hkl 3 3 1

Structural model:
Cell lengths 5.279, 5.279, 5.279 Å; angles 90.00, 90.00, 90.00 degrees
Space group Fm-3m (No. 225)
Inequivalent atoms, fractional coordinates:
1 Co 0.000 0.000 0.000
2 Re 0.000 0.000 0.500
3 B 0.250 0.250 0.250

=====

# 3
# BaCu3O4
Computed X-ray diffraction stick pattern, Cu Ka. Input: a DFT-relaxed cell (GGA-PBE, Alexandria).
Peak positions follow from Bragg's law for the DFT cell and can differ from measured ones.

Peak list (12 most intense, 10 to 80 degrees two-theta, by angle)
22.03 deg, d = 4.035 Å, I 27, hkl 0 0 1; 27.33 deg, d = 3.264 Å, I 58, hkl 0 2 1; 28.50 deg, d = 3.131 Å, I 100, hkl 1 1 1; 32.25 deg, d = 2.776 Å, I 66, hkl 2 0 0; 36.72 deg, d = 2.448 Å, I 53, hkl 1 3 1; 42.76 deg, d = 2.115 Å, I 32, hkl 2 2 1; 44.93 deg, d = 2.017 Å, I 28, hkl 0 0 2; 46.26 deg, d = 1.963 Å, I 51, hkl 2 4 0; 49.67 deg, d = 1.836 Å, I 19, hkl 1 5 1; 56.38 deg, d = 1.632 Å, I 28, hkl 2 0 2; 66.46 deg, d = 1.407 Å, I 31, hkl 2 4 2; 67.49 deg, d = 1.388 Å, I 15, hkl 4 0 0

Structural model:
Cell lengths 5.552, 11.100, 4.035 Å; angles 90.00, 90.00, 90.00 degrees
Space group Cmmm (No. 65)
Inequivalent atoms, fractional coordinates:
1 Ba 0.000 0.000 0.000
2 Cu 0.000 0.248 0.500
3 Cu 0.000 0.500 0.500
4 O 0.245 0.371 0.500

=====

# 4
# Ac3TiN4
Computed X-ray diffraction stick pattern, Cu Ka. Input: a DFT-relaxed cell (GGA-PBE, Alexandria).
Peak positions follow from Bragg's law for the DFT cell and can differ from measured ones.

Peak list (12 most intense, 10 to 80 degrees two-theta, by angle)
18.47 deg, d = 4.803 Å, I 36, hkl 1 1 1; 29.56 deg, d = 3.022 Å, I 100, hkl 0 2 2; 30.13 deg, d = 2.966 Å, I 94, hkl 2 2 0; 31.46 deg, d = 2.844 Å, I 91, hkl 2 0 2; 31.88 deg, d = 2.807 Å, I 22, hkl 0 3 1; 40.24 deg, d = 2.241 Å, I 22, hkl 0 4 0; 44.28 deg, d = 2.046 Å, I 16, hkl 0 0 4; 50.87 deg, d = 1.795 Å, I 17, hkl 2 3 3; 51.95 deg, d = 1.760 Å, I 25, hkl 2 4 2; 54.49 deg, d = 1.684 Å, I 24, hkl 2 2 4; 55.53 deg, d = 1.655 Å, I 19, hkl 4 2 2; 57.55 deg, d = 1.602 Å, I 22, hkl 2 5 1

Structural model:
Cell lengths 7.912, 8.965, 8.182 Å; angles 90.00, 90.00, 90.00 degrees
Space group Pnma (No. 62)
Inequivalent atoms, fractional coordinates:
1 Ac 0.017 0.034 0.232
2 Ac 0.197 0.750 0.457
3 Ti 0.233 0.750 0.995
4 N 0.005 0.750 0.078
5 N 0.193 0.039 0.527
6 N 0.224 0.750 0.755

=====

# 5
# Sm7GaSe5
Computed X-ray diffraction stick pattern, Cu Ka. Input: a DFT-relaxed cell (GGA-PBE, Alexandria).
Peak positions follow from Bragg's law for the DFT cell and can differ from measured ones.

Peak list (12 most intense, 10 to 80 degrees two-theta, by angle)
26.83 deg, d = 3.323 Å, I 19, hkl 1 1 -4; 28.38 deg, d = 3.145 Å, I 80, hkl 2 0 7; 29.43 deg, d = 3.035 Å, I 32, hkl 3 1 1; 30.10 deg, d = 2.969 Å, I 100, hkl 3 1 2; 31.19 deg, d = 2.868 Å, I 65, hkl 3 1 -3; 31.71 deg, d = 2.822 Å, I 40, hkl 2 0 8; 39.97 deg, d = 2.256 Å, I 34, hkl 1 1 9; 43.15 deg, d = 2.096 Å, I 30, hkl 1 1 -10; 43.62 deg, d = 2.075 Å, I 59, hkl 6 0 -5; 44.05 deg, d = 2.056 Å, I 38, hkl 0 2 0; 45.38 deg, d = 1.998 Å, I 25, hkl 5 1 -6; 53.24 deg, d = 1.721 Å, I 28, hkl 2 2 7

Structural model:
Cell lengths 13.729, 4.111, 24.764 Å; angles 90.00, 90.02, 90.00 degrees
Space group C2/m (No. 12)
Inequivalent atoms, fractional coordinates:
1 Sm 0.030 0.000 0.250
2 Sm 0.090 0.500 0.386
3 Sm 0.091 0.500 0.114
4 Sm 0.138 0.000 0.963
5 Sm 0.139 0.000 0.537
6 Sm 0.191 0.500 0.680
7 Sm 0.191 0.500 0.820
8 Ga 0.191 0.500 0.250
9 Se 0.000 0.500 0.000
10 Se 0.000 0.500 0.500
11 Se 0.052 0.000 0.857
12 Se 0.053 0.000 0.643
13 Se 0.224 0.000 0.072
14 Se 0.224 0.000 0.428

=====

# 6
# Cs2PrBr3Cl3
Computed X-ray diffraction stick pattern, Cu Ka. Input: a DFT-relaxed cell (GGA-PBE, Alexandria).
Peak positions follow from Bragg's law for the DFT cell and can differ from measured ones.

Peak list (12 most intense, 10 to 80 degrees two-theta, by angle)
19.69 deg, d = 4.509 Å, I 87, hkl 1 1 0; 22.86 deg, d = 3.891 Å, I 59, hkl 1 0 1; 28.05 deg, d = 3.181 Å, I 100, hkl 1 1 1; 30.34 deg, d = 2.946 Å, I 76, hkl 2 0 1; 34.45 deg, d = 2.603 Å, I 96, hkl 3 0 0; 36.43 deg, d = 2.466 Å, I 85, hkl 2 1 1; 40.00 deg, d = 2.254 Å, I 25, hkl 2 2 0; 40.19 deg, d = 2.244 Å, I 29, hkl 0 0 2; 46.55 deg, d = 1.951 Å, I 25, hkl 3 1 1; 53.95 deg, d = 1.700 Å, I 52, hkl 3 0 2; 55.20 deg, d = 1.664 Å, I 25, hkl 3 2 1; 57.87 deg, d = 1.593 Å, I 26, hkl 4 1 1

Structural model:
Cell lengths 9.0187, 9.0187, 4.4872 Å; angles 90.00, 90.00, 120.00 degrees
Space group P-62m (No. 189)
Inequivalent atoms, fractional coordinates:
1 Cs 0.3333 0.6667 0.0000
2 Pr 0.0000 0.0000 0.5000
3 Br 0.0000 0.3432 0.5000
4 Cl 0.0000 0.7826 0.0000